1.
Diffraction record for Ca9Zn4Bi9. The powder diffraction line list is theoretical, not measured: it uses a structure optimized by DFT (PBE) and λ = 1.5418 Å (Cu Kα).
Kinematic intensities with the Lorentz-polarization factor, no thermal factor.

Structural model:
Cell lengths 12.741, 22.232, 4.688 Å; angles 90.00, 90.00, 90.00 degrees
Atoms (fractional coordinates):
Ca 0.000 0.000 0.000
Ca 0.075 0.412 0.500
Ca 0.128 0.863 0.500
Ca 0.130 0.235 0.500
Ca 0.201 0.601 0.000
Ca 0.299 0.101 0.000
Ca 0.370 0.735 0.500
Ca 0.372 0.363 0.500
Ca 0.425 0.912 0.500
Ca 0.500 0.500 0.000
Ca 0.575 0.088 0.500
Ca 0.628 0.637 0.500
Ca 0.630 0.265 0.500
Ca 0.701 0.899 0.000
Ca 0.799 0.399 0.000
Ca 0.870 0.765 0.500
Ca 0.872 0.137 0.500
Ca 0.925 0.588 0.500
Zn 0.108 0.763 0.000
Zn 0.232 0.454 0.000
Zn 0.268 0.954 0.000
Zn 0.392 0.263 0.000
Zn 0.608 0.737 0.000
Zn 0.732 0.046 0.000
Zn 0.768 0.546 0.000
Zn 0.892 0.237 0.000
Bi 0.000 0.500 0.000
Bi 0.050 0.144 0.000
Bi 0.109 0.693 0.500
Bi 0.190 0.011 0.500
Bi 0.194 0.330 0.000
Bi 0.306 0.830 0.000
Bi 0.310 0.511 0.500
Bi 0.391 0.193 0.500
Bi 0.450 0.644 0.000
Bi 0.500 0.000 0.000
Bi 0.550 0.356 0.000
Bi 0.609 0.807 0.500
Bi 0.690 0.489 0.500
Bi 0.694 0.170 0.000
Bi 0.806 0.670 0.000
Bi 0.810 0.989 0.500
Bi 0.891 0.307 0.500
Bi 0.950 0.856 0.000

Main lines, by angle (2θ from 5° to 70°):
| 2θ/deg | I/Imax |
| --- | --- |
| 23.52 | 98 |
| 24.15 | 100 |
| 31.07 | 63 |
| 38.40 | 77 |
| 40.31 | 63 |
| 45.86 | 58 |

***

2.
Diffraction record for Ca2Ce4Pb3O2. The powder diffraction line list is theoretical, not measured: it uses a structure optimized by DFT (PBE) and λ = 1.5418 Å (Cu Kα).
Kinematic intensities with the Lorentz-polarization factor, no thermal factor.

Structural model:
Cell lengths 13.450, 13.450, 13.450 Å; angles 159.36, 159.36, 29.36 degrees
Atoms (fractional coordinates):
Ca 0.198 0.198 0.000
Ca 0.802 0.802 0.000
Ce 0.087 0.587 0.500
Ce 0.413 0.913 0.500
Ce 0.587 0.087 0.500
Ce 0.913 0.413 0.500
Pb 0.324 0.324 0.000
Pb 0.500 0.500 0.000
Pb 0.676 0.676 0.000
O 0.100 0.100 0.000
O 0.900 0.900 0.000

Main lines, by angle (2θ from 5° to 70°):
| 2θ/deg | I/Imax |
| --- | --- |
| 18.72 | 33 |
| 25.18 | 31 |
| 29.59 | 17 |
| 33.44 | 100 |
| 37.31 | 47 |
| 64.84 | 30 |

***

3.
Diffraction record for Li3GeF6. The powder diffraction line list is theoretical, not measured: it uses a structure optimized by DFT (PBE) and λ = 1.5418 Å (Cu Kα).
Kinematic intensities with the Lorentz-polarization factor, no thermal factor.

Structural model:
Cell lengths 6.624, 6.624, 5.839 Å; angles 90.00, 90.00, 101.20 degrees
Atoms (fractional coordinates):
Li 0.096 0.285 0.602
Li 0.147 0.853 0.500
Li 0.285 0.096 0.102
Li 0.715 0.904 0.602
Li 0.853 0.147 0.000
Li 0.904 0.715 0.102
Ge 0.360 0.640 0.872
Ge 0.640 0.360 0.372
F 0.125 0.577 0.684
F 0.130 0.217 0.906
F 0.212 0.788 0.079
F 0.217 0.130 0.406
F 0.423 0.875 0.684
F 0.486 0.514 0.163
F 0.514 0.486 0.663
F 0.577 0.125 0.184
F 0.783 0.870 0.906
F 0.788 0.212 0.579
F 0.870 0.783 0.406
F 0.875 0.423 0.184

Main lines, by angle (2θ from 5° to 70°):
| 2θ/deg | I/Imax |
| --- | --- |
| 13.63 | 53 |
| 20.45 | 100 |
| 21.13 | 34 |
| 23.11 | 91 |
| 33.13 | 36 |
| 42.13 | 34 |

***

- Number 3 is which compound?
  Li3GeF6